Calculated PXRD pattern
Compound: PrPuInRu
Radiation: CuKα
Structure: the GGA-PBE geometry in Alexandria
Kinematic intensities with the Lorentz-polarization factor, no thermal factor.

Structural model:
```
4
Lattice="3.389 0.000 0.000 0.000 3.389 0.000 0.000 0.000 8.527" Properties=species:S:1:pos:R:3 pbc="T T T"
Pr 0.000 0.000 0.000
Pu 0.000 0.000 5.002
In 1.695 1.695 2.570
Ru 1.695 1.695 6.583
```

Principal peaks in the range 2θ = 5–70°, in order of falling intensity:
two_theta  Rel. int.
33.78  100.0
37.53  46.1
65.34  29.6
10.37  24.7
54.12  16.0
41.46  15.6
60.80  10.6
57.89  10.6
49.76  10.2
28.33  9.6

***

Calculated PXRD pattern
Compound: CsBiAu3
Radiation: CuKα
Structure: the GGA-PBE geometry in Alexandria
Kinematic intensities with the Lorentz-polarization factor, no thermal factor.

Structural model:
```
20
Lattice="9.067 0.000 0.000 0.000 6.329 0.000 0.000 0.000 12.657" Properties=species:S:1:pos:R:3 pbc="T T T"
Cs 0.000 1.407 3.164
Cs 0.000 4.922 9.493
Cs 4.533 1.407 9.493
Cs 4.533 4.922 3.164
Bi 2.267 3.165 0.009
Bi 2.267 3.165 6.338
Bi 6.800 3.165 6.320
Bi 6.800 3.165 12.648
Au 9.062 1.484 6.905
Au 0.004 1.484 12.081
Au 9.062 4.845 0.577
Au 0.004 4.845 5.752
Au 2.267 0.000 0.006
Au 2.267 0.000 6.335
Au 4.538 1.484 0.577
Au 4.529 1.484 5.752
Au 4.538 4.845 6.905
Au 4.529 4.845 12.081
Au 6.800 0.000 12.651
Au 6.800 0.000 6.323
```

Principal peaks in the range 2θ = 5–70°, in order of falling intensity:
two_theta  Rel. int.
13.99  100.0
34.57  55.1
27.24  43.5
37.46  39.3
45.19  29.2
28.20  27.3
39.77  19.2
39.34  16.5
42.36  14.0
49.46  11.9

***

Calculated PXRD pattern
Compound: Cd2Sn2Au
Radiation: CuKα
Structure: the GGA-PBE geometry in Alexandria
Kinematic intensities with the Lorentz-polarization factor, no thermal factor.

Structural model:
```
10
Lattice="3.926 -4.435 0.000 3.926 4.435 0.000 0.000 0.000 7.051" Properties=species:S:1:pos:R:3 pbc="T T T"
Cd 3.406 2.873 0.000
Cd 4.446 2.873 3.526
Cd 3.406 -2.873 3.526
Cd 4.446 -2.873 0.000
Sn 2.438 0.509 2.247
Sn 2.438 -0.509 5.773
Sn 5.414 0.509 5.773
Sn 5.414 -0.509 2.247
Au 1.963 2.217 4.637
Au 1.963 -2.217 1.111
```

Principal peaks in the range 2θ = 5–70°, in order of falling intensity:
two_theta  Rel. int.
34.83  100.0
32.42  98.8
38.05  77.8
41.37  67.0
34.18  54.0
39.93  50.0
33.02  41.6
19.66  39.8
29.54  33.8
22.65  28.6

***

Calculated PXRD pattern
Compound: Pm2Ho6ErSc
Radiation: CuKα
Structure: the GGA-PBE geometry in Alexandria
Kinematic intensities with the Lorentz-polarization factor, no thermal factor.

Structural model:
```
20
Lattice="4.484 -7.386 0.000 4.484 7.386 0.000 -1.468 0.000 9.431" Properties=species:S:1:pos:R:3 pbc="T T T"
Pm 2.159 0.747 0.426
Pm 1.425 -0.747 5.141
Pm 6.075 0.747 4.290
Pm 5.341 -0.747 9.005
Ho 2.334 4.139 1.800
Ho 3.094 4.576 5.255
Ho 3.672 4.576 8.891
Ho 3.016 1.545 3.611
Ho 5.900 4.139 2.916
Ho 5.218 1.545 1.104
Ho 2.282 -1.545 8.327
Ho 1.600 -4.139 6.515
Ho 4.483 -1.545 5.820
Ho 3.828 -4.576 0.540
Ho 4.406 -4.576 4.176
Ho 5.166 -4.139 7.631
Er 4.117 7.122 2.358
Er 3.383 -7.122 7.073
Sc 3.383 1.332 7.073
Sc 4.117 -1.332 2.358
```

Principal peaks in the range 2θ = 5–70°, in order of falling intensity:
two_theta  Rel. int.
30.90  100.0
32.15  68.1
31.93  44.6
34.04  43.3
29.12  41.0
32.04  35.2
33.78  24.5
32.89  18.4
53.69  15.7
28.15  15.6